# RbInGe2I8
Computed powder X-ray diffraction pattern, Cu Kα (λ = 1.5418 Å). Input: DFT lattice parameters and positions (GGA-PBE).

Structural model:
```
data_RbInGe2I8
_chemical_formula_sum 'Rb1 In1 Ge2 I8'
_cell_length_a 7.4007
_cell_length_b 8.1637
_cell_length_c 10.3361
_cell_angle_alpha 74.05
_cell_angle_beta 78.50
_cell_angle_gamma 75.52
_symmetry_space_group_name_H-M 'P -1'
_symmetry_Int_Tables_number 2
_symmetry_space_group_name_Hall '-P 1'
loop_
_atom_site_label
_atom_site_fract_x
_atom_site_fract_y
_atom_site_fract_z
Rb1 0.0000 0.0000 0.0000
In1 0.0000 0.0000 0.5000
Ge1 0.4506 0.4224 0.2277
I1 0.1672 0.7163 0.7453
I2 0.2306 0.8122 0.3127
I3 0.2811 0.2268 0.4708
I4 0.4279 0.2527 0.0390
```

The 10 most intense peaks (2θ = 10–90°), by angle:
h k l  two_theta  I/Imax
0 1 1  12.83  51
1 0 1  14.33  49
1 1 0  15.14  47
0 2 0  23.17  45
-1 1 2  25.38  100
2 0 1  25.47  57
1 -1 2  26.80  59
1 1 -2  26.92  74
2 2 1  29.16  41
3 0 -2  44.77  50